Record 1
Structure and computed powder X-ray diffraction pattern of Li4Fe5SbP6O24 (the PBE+U geometry in the Materials Project; Cu Kα (weighted mean of Kα1 and Kα2)).
No peak broadening, texture or thermal motion is included.

Atomic structure:
Unit cell a=8.374 b=8.504 c=8.533 alpha=64.72 beta=65.19 gamma=65.25
Fractional positions:
1 Li 0.000 0.000 0.000
2 Li 0.092 0.502 0.932
3 Li 0.531 0.700 0.293
4 Li 0.890 0.140 0.488
5 Fe 0.262 0.862 0.645
6 Fe 0.395 0.011 0.796
7 Fe 0.601 0.214 0.996
8 Fe 0.743 0.365 0.148
9 Fe 0.907 0.519 0.308
10 Sb 0.094 0.697 0.489
11 P 0.189 0.106 0.193
12 P 0.327 0.609 0.079
13 P 0.500 0.405 0.594
14 P 0.680 0.936 0.396
15 P 0.805 0.810 0.897
16 P 0.998 0.294 0.720
17 O 0.005 0.267 0.217
18 O 0.006 0.779 0.748
19 O 0.068 0.437 0.719
20 O 0.138 0.100 0.738
21 O 0.158 0.545 0.136
22 O 0.176 0.961 0.391
23 O 0.194 0.034 0.055
24 O 0.322 0.762 0.898
25 O 0.331 0.671 0.224
26 O 0.353 0.606 0.570
27 O 0.361 0.166 0.130
28 O 0.423 0.260 0.623
29 O 0.490 0.945 0.539
30 O 0.510 0.449 0.059
31 O 0.568 0.363 0.753
32 O 0.648 0.856 0.830
33 O 0.657 0.429 0.407
34 O 0.675 0.113 0.229
35 O 0.736 0.768 0.336
36 O 0.789 0.964 0.960
37 O 0.820 0.622 0.052
38 O 0.826 0.934 0.466
39 O 0.843 0.273 0.907
40 O 0.938 0.346 0.554

Main lines, by angle (2θ from 15° to 90°):
| d (Å) | 2theta | I (rel.) |
| --- | --- | --- |
| 4.554 | 19.5 | 100 |
| 3.790 | 23.5 | 31 |
| 3.756 | 23.7 | 30 |
| 3.721 | 23.9 | 29 |
| 2.707 | 33.1 | 37 |
| 2.688 | 33.3 | 19 |
| 2.679 | 33.4 | 17 |
| 2.657 | 33.7 | 32 |
| 2.629 | 34.1 | 74 |
| 1.722 | 53.2 | 21 |


Record 2
Structure and computed powder X-ray diffraction pattern of Li4Fe3SbP4O16 (the PBE+U geometry in the Materials Project; Cu Kα (weighted mean of Kα1 and Kα2)).
No peak broadening, texture or thermal motion is included.

Atomic structure:
Unit cell a=4.771 b=6.306 c=10.754 alpha=90.00 beta=91.71 gamma=90.00
Fractional positions:
1 Li 0.000 0.248 0.000
2 Li 0.000 0.752 0.000
3 Li 0.514 0.249 0.487
4 Li 0.514 0.751 0.487
5 Fe 0.041 0.000 0.281
6 Fe 0.538 0.500 0.219
7 Fe 0.989 0.500 0.700
8 Sb 0.432 0.000 0.783
9 P 0.096 0.500 0.398
10 P 0.420 0.500 0.913
11 P 0.584 0.000 0.103
12 P 0.933 0.000 0.573
13 O 0.222 0.303 0.328
14 O 0.222 0.697 0.328
15 O 0.228 0.500 0.532
16 O 0.257 0.000 0.565
17 O 0.262 0.000 0.102
18 O 0.270 0.312 0.842
19 O 0.270 0.688 0.842
20 O 0.308 0.500 0.047
21 O 0.698 0.000 0.968
22 O 0.719 0.199 0.169
23 O 0.719 0.801 0.169
24 O 0.739 0.500 0.903
25 O 0.773 0.500 0.395
26 O 0.791 0.000 0.440
27 O 0.824 0.207 0.638
28 O 0.824 0.793 0.638

Main lines, by angle (2θ from 15° to 90°):
| d (Å) | 2theta | I (rel.) |
| --- | --- | --- |
| 5.375 | 16.5 | 53 |
| 4.408 | 20.1 | 66 |
| 3.614 | 24.6 | 74 |
| 3.559 | 25.0 | 70 |
| 3.153 | 28.3 | 100 |
| 2.907 | 30.8 | 33 |
| 2.640 | 34.0 | 54 |
| 2.578 | 34.8 | 72 |
| 2.564 | 35.0 | 32 |
| 2.472 | 36.3 | 44 |


Record 3
Structure and computed powder X-ray diffraction pattern of Li5Fe3Sb2P6O24 (the PBE+U geometry in the Materials Project; Cu Kα (weighted mean of Kα1 and Kα2)).
No peak broadening, texture or thermal motion is included.

Atomic structure:
Unit cell a=8.821 b=8.918 c=8.936 alpha=119.86 beta=118.78 gamma=90.37
Fractional positions:
1 Li 0.000 0.000 0.000
2 Li 0.002 0.507 0.351
3 Li 0.008 0.331 0.850
4 Li 0.221 0.353 0.220
5 Li 0.460 0.835 0.394
6 Fe 0.224 0.022 0.539
7 Fe 0.655 0.825 0.173
8 Fe 0.738 0.514 0.543
9 Sb 0.242 0.686 0.878
10 Sb 0.700 0.193 0.883
11 P 0.422 0.117 0.343
12 P 0.425 0.408 0.037
13 P 0.433 0.718 0.646
14 P 0.903 0.920 0.631
15 P 0.920 0.207 0.339
16 P 0.943 0.629 0.064
17 O 0.056 0.961 0.605
18 O 0.096 0.169 0.451
19 O 0.126 0.780 0.266
20 O 0.246 0.137 0.211
21 O 0.252 0.566 0.459
22 O 0.256 0.376 0.038
23 O 0.409 0.241 0.841
24 O 0.421 0.915 0.186
25 O 0.425 0.089 0.505
26 O 0.428 0.577 0.013
27 O 0.437 0.898 0.650
28 O 0.441 0.765 0.848
29 O 0.597 0.266 0.458
30 O 0.601 0.673 0.656
31 O 0.608 0.457 0.229
32 O 0.711 0.846 0.437
33 O 0.749 0.074 0.254
34 O 0.779 0.690 0.040
35 O 0.907 0.194 0.145
36 O 0.909 0.105 0.810
37 O 0.921 0.454 0.073
38 O 0.940 0.794 0.709
39 O 0.942 0.411 0.485
40 O 0.959 0.558 0.876

Main lines, by angle (2θ from 15° to 90°):
| d (Å) | 2theta | I (rel.) |
| --- | --- | --- |
| 4.465 | 19.9 | 100 |
| 3.863 | 23.0 | 32 |
| 3.796 | 23.4 | 29 |
| 3.774 | 23.6 | 23 |
| 3.662 | 24.3 | 28 |
| 2.870 | 31.2 | 49 |
| 2.837 | 31.5 | 21 |
| 2.819 | 31.7 | 24 |
| 2.799 | 32.0 | 25 |
| 2.580 | 34.8 | 38 |


Record 4
Structure and computed powder X-ray diffraction pattern of Li6Fe3SbP6O24 (the PBE+U geometry in the Materials Project; Cu Kα (weighted mean of Kα1 and Kα2)).
No peak broadening, texture or thermal motion is included.

Atomic structure:
Unit cell a=8.639 b=8.770 c=8.813 alpha=60.84 beta=60.99 gamma=61.51
Fractional positions:
1 Li 0.000 0.000 0.000
2 Li 0.086 0.843 0.516
3 Li 0.193 0.326 0.477
4 Li 0.386 0.703 0.172
5 Li 0.667 0.527 0.803
6 Li 0.829 0.185 0.653
7 Fe 0.004 0.341 0.818
8 Fe 0.503 0.837 0.305
9 Fe 0.706 0.048 0.518
10 Sb 0.211 0.537 0.016
11 P 0.105 0.132 0.214
12 P 0.309 0.930 0.701
13 P 0.409 0.439 0.605
14 P 0.604 0.230 0.119
15 P 0.801 0.738 0.913
16 P 0.905 0.648 0.410
17 O 0.047 0.161 0.061
18 O 0.106 0.588 0.256
19 O 0.133 0.100 0.718
20 O 0.168 0.298 0.167
21 O 0.252 0.381 0.635
22 O 0.260 0.779 0.907
23 O 0.266 0.947 0.237
24 O 0.328 0.871 0.554
25 O 0.357 0.498 0.775
26 O 0.412 0.612 0.430
27 O 0.453 0.435 0.064
28 O 0.488 0.948 0.675
29 O 0.530 0.081 0.165
30 O 0.595 0.289 0.597
31 O 0.619 0.766 0.074
32 O 0.634 0.220 0.278
33 O 0.742 0.710 0.348
34 O 0.771 0.236 0.936
35 O 0.822 0.584 0.861
36 O 0.823 0.912 0.746
37 O 0.905 0.465 0.576
38 O 0.915 0.799 0.441
39 O 0.954 0.121 0.404
40 O 0.968 0.680 0.982

Main lines, by angle (2θ from 15° to 90°):
| d (Å) | 2theta | I (rel.) |
| --- | --- | --- |
| 4.451 | 19.9 | 74 |
| 4.427 | 20.1 | 35 |
| 4.404 | 20.2 | 60 |
| 4.382 | 20.3 | 57 |
| 4.319 | 20.6 | 55 |
| 3.792 | 23.5 | 100 |
| 3.754 | 23.7 | 62 |
| 3.740 | 23.8 | 56 |
| 2.572 | 34.9 | 46 |
| 2.561 | 35.0 | 64 |


Record 5
Structure and computed powder X-ray diffraction pattern of Li8Fe3SnP6O24 (the PBE+U geometry in the Materials Project; Cu Kα (weighted mean of Kα1 and Kα2)).
No peak broadening, texture or thermal motion is included.

Atomic structure:
Unit cell a=8.851 b=8.851 c=8.851 alpha=61.67 beta=61.67 gamma=61.67
Fractional positions:
1 Li 0.000 0.000 0.000
2 Li 0.169 0.762 0.323
3 Li 0.245 0.668 0.834
4 Li 0.323 0.169 0.762
5 Li 0.494 0.494 0.494
6 Li 0.668 0.834 0.245
7 Li 0.762 0.323 0.169
8 Li 0.834 0.245 0.668
9 Fe 0.171 0.171 0.171
10 Fe 0.370 0.370 0.370
11 Fe 0.871 0.871 0.871
12 Sn 0.670 0.670 0.670
13 P 0.074 0.475 0.775
14 P 0.275 0.978 0.576
15 P 0.475 0.775 0.074
16 P 0.576 0.275 0.978
17 P 0.775 0.074 0.475
18 P 0.978 0.576 0.275
19 O 0.016 0.413 0.230
20 O 0.051 0.629 0.826
21 O 0.084 0.291 0.931
22 O 0.122 0.945 0.761
23 O 0.126 0.559 0.332
24 O 0.230 0.016 0.413
25 O 0.257 0.447 0.618
26 O 0.291 0.931 0.084
27 O 0.332 0.126 0.559
28 O 0.413 0.230 0.016
29 O 0.434 0.784 0.598
30 O 0.447 0.618 0.257
31 O 0.520 0.720 0.910
32 O 0.559 0.332 0.126
33 O 0.598 0.434 0.784
34 O 0.618 0.257 0.447
35 O 0.629 0.826 0.051
36 O 0.720 0.910 0.520
37 O 0.761 0.122 0.945
38 O 0.784 0.598 0.434
39 O 0.826 0.051 0.629
40 O 0.910 0.520 0.720
41 O 0.931 0.084 0.291
42 O 0.945 0.761 0.122

Main lines, by angle (2θ from 15° to 90°):
| d (Å) | 2theta | I (rel.) |
| --- | --- | --- |
| 4.537 | 19.6 | 42 |
| 4.423 | 20.1 | 70 |
| 3.828 | 23.2 | 100 |
| 3.167 | 28.2 | 34 |
| 2.804 | 31.9 | 62 |
| 2.619 | 34.2 | 37 |
| 2.597 | 34.5 | 23 |
| 1.914 | 47.5 | 26 |
| 1.736 | 52.7 | 19 |
| 1.715 | 53.4 | 22 |